LiZnCd4: theoretical powder X-ray diffraction pattern (Cu Kα (λ = 1.5418 Å)), based on the GGA-PBE geometry in Alexandria.

Peak list (10 most intense, 2θ = 10–90°, low angle first)
- 21.89°, rel. 12
- 22.24°, rel. 27
- 23.23°, rel. 21
- 30.94°, rel. 25
- 37.62°, rel. 31
- 37.99°, rel. 100
- 39.19°, rel. 55
- 54.51°, rel. 20
- 68.63°, rel. 16
- 69.40°, rel. 13

Structure:
Cell: 4.7409 4.7409 7.2925 Å, 111.65 111.65 60.00°
Fractional coordinates of all 6 atoms:
Li: 0.0000 0.0000 0.0000
Zn: 0.5000 0.5000 0.5000
Cd: 0.2147 0.2147 0.6398
Cd: 0.3677 0.3677 0.0964
Cd: 0.6323 0.6323 0.9036
Cd: 0.7853 0.7853 0.3602

=====

Li4ZnCd3: theoretical powder X-ray diffraction pattern (Cu Kα (λ = 1.5418 Å)), based on the GGA-PBE geometry in Alexandria.

Peak list (10 most intense, 2θ = 10–90°, low angle first)
- 23.36°, rel. 100
- 35.36°, rel. 3
- 38.61°, rel. 96
- 45.62°, rel. 48
- 55.75°, rel. 15
- 61.26°, rel. 19
- 69.87°, rel. 30
- 74.80°, rel. 13
- 82.79°, rel. 9
- 87.50°, rel. 14

Structure:
Cell: 8.0760 8.0760 8.0760 Å, 33.57 33.57 33.57°
Fractional coordinates of all 8 atoms:
Li: 0.0000 0.0000 0.0000
Li: 0.1224 0.1224 0.1224
Li: 0.4927 0.4927 0.4927
Li: 0.6190 0.6190 0.6190
Zn: 0.3732 0.3732 0.3732
Cd: 0.2513 0.2513 0.2513
Cd: 0.7418 0.7418 0.7418
Cd: 0.8708 0.8708 0.8708

=====

Li4ZnCd3: theoretical powder X-ray diffraction pattern (Cu Kα (λ = 1.5418 Å)), based on the GGA-PBE geometry in Alexandria.

Peak list (10 most intense, 2θ = 10–90°, low angle first)
- 26.56°, rel. 100
- 27.29°, rel. 93
- 27.93°, rel. 88
- 38.45°, rel. 90
- 38.92°, rel. 87
- 39.45°, rel. 84
- 48.19°, rel. 76
- 69.50°, rel. 29
- 70.57°, rel. 28
- 71.51°, rel. 27

Structure:
Cell: 4.6337 4.6337 7.2691 Å, 107.57 107.57 92.84°
Fractional coordinates of all 8 atoms:
Li: 0.1205 0.6209 0.7408
Li: 0.3791 0.8795 0.2592
Li: 0.6209 0.1205 0.7408
Li: 0.8795 0.3791 0.2592
Zn: 0.0000 0.0000 0.5000
Cd: 0.2485 0.2485 0.9965
Cd: 0.5000 0.5000 0.5000
Cd: 0.7515 0.7515 0.0035